Structure and computed X-ray diffraction stick pattern of Ac5Sn4 (a structure optimized by DFT (GGA-PBE); Cu Kα (λ = 1.5418 Å)).
Peak positions follow from Bragg's law for the DFT cell and can differ from measured ones.

Crystal structure
a b c (Å): 6.7033 6.7033 11.4495
angles (deg): 110.98 110.98 44.00
Element x y z (fractional)
Ac  0.0000  0.0000  0.0000
Ac  0.0967  0.0967  0.3900
Ac  0.2480  0.2480  0.8342
Ac  0.7520  0.7520  0.1658
Ac  0.9033  0.9033  0.6100
Sn  0.3721  0.3721  0.3902
Sn  0.4524  0.4524  0.1665
Sn  0.5476  0.5476  0.8335
Sn  0.6279  0.6279  0.6098

Top 12 peaks for 2θ = 10–90°, in order of falling intensity:
two_theta, I/Imax
27.62, 100
27.92, 79
29.46, 58
35.76, 53
32.45, 48
28.97, 38
33.06, 36
46.66, 29
24.02, 26
55.02, 22
42.81, 19
27.02, 19

***

Structure and computed X-ray diffraction stick pattern of K2U3Te2O14 (a structure optimized by DFT (GGA-PBE); Cu Kα (λ = 1.5418 Å)).
Peak positions follow from Bragg's law for the DFT cell and can differ from measured ones.

Crystal structure
a b c (Å): 7.0099 7.1165 8.1407
angles (deg): 106.41 102.14 97.55
Element x y z (fractional)
K  0.2030  0.3967  0.3441
K  0.7970  0.6033  0.6559
U  0.1021  0.1652  0.7405
U  0.5000  0.0000  0.5000
U  0.8979  0.8348  0.2595
Te  0.3368  0.6755  0.0085
Te  0.6632  0.3245  0.9915
O  0.1063  0.9478  0.8207
O  0.1125  0.3948  0.6711
O  0.1333  0.7358  0.1253
O  0.1797  0.0038  0.4761
O  0.3163  0.4101  0.0239
O  0.4635  0.1795  0.7750
O  0.4696  0.7636  0.5547
O  0.5304  0.2364  0.4453
O  0.5365  0.8205  0.2250
O  0.6837  0.5899  0.9761
O  0.8203  0.9962  0.5239
O  0.8667  0.2642  0.8747
O  0.8875  0.6052  0.3289
O  0.8937  0.0522  0.1793

Top 12 peaks for 2θ = 10–90°, in order of falling intensity:
two_theta, I/Imax
14.63, 100
27.38, 43
27.21, 39
30.09, 31
25.46, 31
23.88, 30
26.11, 26
29.72, 20
13.25, 19
31.80, 19
28.37, 18
39.89, 18

***

Structure and computed X-ray diffraction stick pattern of Ac2Si3Ag (a structure optimized by DFT (GGA-PBE); Cu Kα (λ = 1.5418 Å)).
Peak positions follow from Bragg's law for the DFT cell and can differ from measured ones.

Crystal structure
a b c (Å): 8.7183 8.5263 6.3219
angles (deg): 70.12 66.88 42.99
Element x y z (fractional)
Ac  0.2442  0.7558  0.2442
Ac  0.2500  0.2500  0.2500
Ac  0.7500  0.7500  0.7500
Ac  0.7558  0.2442  0.7558
Si  0.1624  0.6747  0.8376
Si  0.1629  0.1629  0.8371
Si  0.3253  0.8376  0.6747
Si  0.6747  0.1624  0.3253
Si  0.8371  0.8371  0.1629
Si  0.8376  0.3253  0.1624
Ag  0.3344  0.3344  0.6656
Ag  0.6656  0.6656  0.3344

Top 12 peaks for 2θ = 10–90°, in order of falling intensity:
two_theta, I/Imax
30.90, 100
24.04, 24
42.41, 20
58.76, 15
53.26, 15
46.11, 14
38.71, 13
65.25, 12
24.14, 12
42.22, 10
19.08, 10
58.61, 8

***

Structure and computed X-ray diffraction stick pattern of Er11Al2Ge8 (a structure optimized by DFT (GGA-PBE); Cu Kα (λ = 1.5418 Å)).
Peak positions follow from Bragg's law for the DFT cell and can differ from measured ones.

Crystal structure
a b c (Å): 11.1328 11.1328 11.1328
angles (deg): 121.04 121.04 88.21
Element x y z (fractional)
Er  0.0583  0.3096  0.7487
Er  0.1023  0.4352  0.3329
Er  0.1023  0.7693  0.6671
Er  0.1654  0.1654  0.0000
Er  0.2307  0.8977  0.3329
Er  0.3096  0.0583  0.7487
Er  0.3096  0.5610  0.2513
Er  0.3256  0.3256  0.6512
Er  0.3256  0.6744  0.0000
Er  0.4352  0.1023  0.3329
Er  0.4390  0.6904  0.7487
Er  0.5610  0.3096  0.2513
Er  0.5648  0.8977  0.6671
Er  0.6744  0.3256  0.0000
Er  0.6744  0.6744  0.3488
Er  0.6904  0.4390  0.7487
Er  0.6904  0.9417  0.2513
Er  0.7693  0.1023  0.6671
Er  0.8346  0.8346  0.0000
Er  0.8977  0.2307  0.3329
Er  0.8977  0.5648  0.6671
Er  0.9417  0.6904  0.2513
Al  0.1234  0.1234  0.2469
Al  0.1234  0.8766  0.0000
Al  0.8766  0.1234  0.0000
Al  0.8766  0.8766  0.7531
Ge  0.0317  0.0317  0.4103
Ge  0.0317  0.6214  0.0000
Ge  0.1458  0.5000  0.6458
Ge  0.2500  0.7500  0.5000
Ge  0.3786  0.3786  0.4103
Ge  0.3786  0.9683  0.0000
Ge  0.3833  0.3833  0.0000
Ge  0.5000  0.1458  0.6458
Ge  0.5000  0.8542  0.3542
Ge  0.6167  0.6167  0.0000
Ge  0.6214  0.0317  0.0000
Ge  0.6214  0.6214  0.5897
Ge  0.7500  0.2500  0.5000
Ge  0.8542  0.5000  0.3542
Ge  0.9683  0.3786  0.0000
Ge  0.9683  0.9683  0.5897

Top 12 peaks for 2θ = 10–90°, in order of falling intensity:
two_theta, I/Imax
33.46, 100
33.96, 97
34.74, 63
32.69, 42
34.61, 37
34.24, 35
37.38, 33
25.01, 29
49.94, 26
56.64, 21
53.37, 20
68.96, 17

***

Structure and computed X-ray diffraction stick pattern of Ti3CuPd12 (a structure optimized by DFT (GGA-PBE); Cu Kα (λ = 1.5418 Å)).
Peak positions follow from Bragg's law for the DFT cell and can differ from measured ones.

Crystal structure
a b c (Å): 3.9300 3.9300 15.6390
angles (deg): 90.00 90.00 90.00
Element x y z (fractional)
Ti  0.0000  0.0000  0.0000
Ti  0.0000  0.0000  0.2569
Ti  0.0000  0.0000  0.7431
Cu  0.0000  0.0000  0.5000
Pd  0.0000  0.5000  0.1244
Pd  0.0000  0.5000  0.3737
Pd  0.0000  0.5000  0.6263
Pd  0.0000  0.5000  0.8756
Pd  0.5000  0.0000  0.1244
Pd  0.5000  0.0000  0.3737
Pd  0.5000  0.0000  0.6263
Pd  0.5000  0.0000  0.8756
Pd  0.5000  0.5000  0.0000
Pd  0.5000  0.5000  0.2493
Pd  0.5000  0.5000  0.5000
Pd  0.5000  0.5000  0.7507

Top 12 peaks for 2θ = 10–90°, in order of falling intensity:
two_theta, I/Imax
39.80, 100
46.20, 32
81.22, 24
67.60, 20
46.45, 16
81.59, 11
85.80, 10
67.40, 10
32.27, 6
22.63, 5
22.74, 2
52.06, 2

***

Structure and computed X-ray diffraction stick pattern of AlCu3 (a structure optimized by DFT (GGA-PBE); Cu Kα (λ = 1.5418 Å)).
Peak positions follow from Bragg's law for the DFT cell and can differ from measured ones.

Crystal structure
a b c (Å): 2.6134 4.1111 4.7810
angles (deg): 90.00 99.61 90.00
Element x y z (fractional)
Al  0.0000  0.0000  0.0000
Cu  0.2539  0.5000  0.7485
Cu  0.5000  0.0000  0.5000
Cu  0.7461  0.5000  0.2515

Top 12 peaks for 2θ = 10–90°, in order of falling intensity:
two_theta, I/Imax
43.13, 100
44.30, 92
42.71, 52
44.05, 47
63.03, 30
77.67, 15
80.14, 14
64.05, 14
80.37, 14
18.83, 14
81.01, 14
81.19, 14

***

Structure and computed X-ray diffraction stick pattern of CsTl2OsO4 (a structure optimized by DFT (GGA-PBE); Cu Kα (λ = 1.5418 Å)).
Peak positions follow from Bragg's law for the DFT cell and can differ from measured ones.

Crystal structure
a b c (Å): 6.1605 6.1605 6.1605
angles (deg): 115.62 115.62 97.78
Element x y z (fractional)
Cs  0.0000  0.0000  0.0000
Tl  0.2500  0.7500  0.5000
Tl  0.5000  0.5000  0.0000
Os  0.7500  0.2500  0.5000
O  0.0017  0.1092  0.5369
O  0.5352  0.9983  0.1075
O  0.5723  0.4648  0.4631
O  0.8908  0.4277  0.8925

Top 12 peaks for 2θ = 10–90°, in order of falling intensity:
two_theta, I/Imax
29.26, 100
27.17, 51
49.33, 45
38.80, 26
53.14, 18
60.69, 13
77.86, 13
64.47, 11
80.88, 11
63.37, 11
85.86, 10
44.75, 9

***

Structure and computed X-ray diffraction stick pattern of LiCe2Ge4Ir3 (a structure optimized by DFT (GGA-PBE); Cu Kα (λ = 1.5418 Å)).
Peak positions follow from Bragg's law for the DFT cell and can differ from measured ones.

Crystal structure
a b c (Å): 4.3158 4.3158 9.9581
angles (deg): 90.00 90.00 90.00
Element x y z (fractional)
Li  0.0000  0.0000  0.0000
Ce  0.0000  0.5000  0.7463
Ce  0.5000  0.0000  0.2537
Ge  0.0000  0.0000  0.5000
Ge  0.0000  0.5000  0.1281
Ge  0.5000  0.0000  0.8719
Ge  0.5000  0.5000  0.5000
Ir  0.0000  0.5000  0.3731
Ir  0.5000  0.0000  0.6269
Ir  0.5000  0.5000  0.0000

Top 12 peaks for 2θ = 10–90°, in order of falling intensity:
two_theta, I/Imax
34.07, 100
41.86, 91
34.47, 90
55.04, 51
50.46, 41
29.26, 36
47.11, 36
67.59, 33
60.70, 32
27.35, 32
22.45, 28
71.71, 22